Computed X-ray powder pattern
Compound: LaSnPd
Radiation: Cu Kα
Structure: a DFT-relaxed cell (PBE, the Materials Project)
Lines closer than 0.1° are merged.

Atomic structure:
```
data_LaSnPd
_cell_length_a 7.688
_cell_length_b 4.818
_cell_length_c 8.063
_cell_angle_alpha 90.00
_cell_angle_beta 90.00
_cell_angle_gamma 90.00
_space_group_name_H-M_alt 'P n m a'
_space_group_IT_number 62
_space_group_name_Hall '-P 2ac 2n'
loop_
_atom_site_label
_atom_site_type_symbol
_atom_site_fract_x
_atom_site_fract_y
_atom_site_fract_z
La1 La 0.014 0.250 0.201
Sn1 Sn 0.185 0.250 0.587
Pd1 Pd 0.199 0.750 0.415
```

Peak list (8 most intense, 10 to 90 degrees two-theta, in order of rising 2θ)
Position (°2θ)  Rel. int.  h k l
31.2  52  1 1 2
31.8  100  2 1 1
32.2  38  2 0 2
36.8  33  3 0 1
37.3  47  0 2 0
38.4  63  0 1 3
53.4  23  3 2 1
61.6  28  3 1 4

---

Computed X-ray powder pattern
Compound: LiSi3Pd
Radiation: Cu Kα
Structure: a DFT-relaxed cell (PBE, the Materials Project)
Lines closer than 0.1° are merged.

Atomic structure:
```
data_LiSi3Pd
_cell_length_a 3.417
_cell_length_b 3.417
_cell_length_c 13.568
_cell_angle_alpha 90.00
_cell_angle_beta 90.00
_cell_angle_gamma 90.00
_space_group_name_H-M_alt 'I 4 m m'
_space_group_IT_number 107
_space_group_name_Hall 'I 4 -2'
loop_
_atom_site_label
_atom_site_type_symbol
_atom_site_fract_x
_atom_site_fract_y
_atom_site_fract_z
Li1 Li 0.000 0.000 0.000
Si1 Si 0.000 0.000 0.805
Si2 Si 0.000 0.500 0.159
Pd1 Pd 0.000 0.000 0.376
```

Peak list (8 most intense, 10 to 90 degrees two-theta, in order of rising 2θ)
Position (°2θ)  Rel. int.  h k l
13.1  86  0 0 2
26.3  45  0 0 4
26.9  56  1 0 1
32.8  62  1 0 3
39.6  100  1 1 2
42.5  45  1 0 5
53.6  25  2 0 0
54.4  22  1 0 7

---

Computed X-ray powder pattern
Compound: MgTi8O16
Radiation: Cu Kα
Structure: a DFT-relaxed cell (PBE, the Materials Project)
Lines closer than 0.1° are merged.

Atomic structure:
```
data_MgTi8O16
_cell_length_a 5.333
_cell_length_b 5.603
_cell_length_c 9.299
_cell_angle_alpha 88.16
_cell_angle_beta 87.99
_cell_angle_gamma 89.99
_space_group_name_H-M_alt 'P -1'
_space_group_IT_number 2
_space_group_name_Hall '-P 1'
loop_
_atom_site_label
_atom_site_type_symbol
_atom_site_fract_x
_atom_site_fract_y
_atom_site_fract_z
Mg1 Mg 0.000 0.000 0.000
Ti1 Ti 0.117 0.109 0.622
Ti2 Ti 0.122 0.574 0.858
Ti3 Ti 0.366 0.620 0.380
Ti4 Ti 0.415 0.122 0.147
O1 O 0.043 0.091 0.218
O2 O 0.055 0.600 0.271
O3 O 0.167 0.333 0.002
O4 O 0.188 0.851 0.494
O5 O 0.314 0.355 0.512
O6 O 0.325 0.842 0.992
O7 O 0.449 0.104 0.727
O8 O 0.453 0.602 0.768
```

Peak list (8 most intense, 10 to 90 degrees two-theta, in order of rising 2θ)
Position (°2θ)  Rel. int.  h k l
24.5  95  0 1 2
25.0  48  1 -1 1
25.3  100  0 1 -2
25.4  35  1 1 -1
30.1  76  -1 1 2
30.8  38  1 1 -2
34.7  33  2 0 1
61.9  37  3 2 0

---

Q: Which formula does entry 1 have?
A: LaSnPd